The following is a theoretical powder X-ray diffraction pattern of LiHf8N8O4. It was derived from a DFT-relaxed cell (GGA-PBE, the Materials Project), using Cu Kα, 1.54184 Å.
Peak positions follow from Bragg's law for the DFT cell and can differ from measured ones.

Cell and atoms:
a = 5.387 Å, b = 5.460 Å, c = 10.537 Å
α = 76.39°, β = 75.29°, γ = 60.73°
Space group P1 (No. 1)
Asymmetric unit:
Li  0.000  0.000  0.000 (multiplicity 1)
Hf  0.026  0.101  0.759 (multiplicity 1)
Hf  0.128  0.198  0.462 (multiplicity 1)
Hf  0.284  0.322  0.037 (multiplicity 1)
Hf  0.357  0.474  0.721 (multiplicity 1)
Hf  0.499  0.607  0.276 (multiplicity 1)
Hf  0.638  0.673  0.963 (multiplicity 1)
Hf  0.773  0.807  0.541 (multiplicity 1)
Hf  0.859  0.950  0.242 (multiplicity 1)
N  0.051  0.360  0.880 (multiplicity 1)
N  0.081  0.838  0.619 (multiplicity 1)
N  0.126  0.599  0.380 (multiplicity 1)
N  0.284  0.936  0.125 (multiplicity 1)
N  0.331  0.697  0.872 (multiplicity 1)
N  0.528  0.891  0.379 (multiplicity 1)
N  0.611  0.332  0.118 (multiplicity 1)
N  0.776  0.431  0.625 (multiplicity 1)
O  0.384  0.150  0.621 (multiplicity 1)
O  0.662  0.067  0.888 (multiplicity 1)
O  0.826  0.221  0.367 (multiplicity 1)
O  0.908  0.655  0.122 (multiplicity 1)

Principal peaks in the range 2θ from 5° to 70°, by angle:
| Position (°2θ) | I/Imax | hkl |
| --- | --- | --- |
| 22.42 | 30 | 1 1 2 |
| 30.15 | 100 | 1 1 -2 |
| 30.51 | 44 | 0 1 3 |
| 32.67 | 52 | 1 -1 0 |
| 32.82 | 52 | 1 2 1 |
| 33.26 | 51 | 2 1 1 |

=====

The following is a theoretical powder X-ray diffraction pattern of InAgTe2. It was derived from a DFT-relaxed cell (GGA-PBE, the Materials Project), using Cu Kα, 1.54184 Å.
Peak positions follow from Bragg's law for the DFT cell and can differ from measured ones.

Cell and atoms:
a = 4.303 Å, b = 4.303 Å, c = 6.004 Å
α = 90.00°, β = 90.00°, γ = 90.00°
Space group P4/mmm (No. 123)
Asymmetric unit:
In  0.000  0.000  0.000 (multiplicity 1)
Ag  0.500  0.500  0.500 (multiplicity 1)
Te  0.000  0.000  0.500 (multiplicity 1)
Te  0.500  0.500  0.000 (multiplicity 1)

Principal peaks in the range 2θ from 5° to 70°, by angle:
| Position (°2θ) | I/Imax | hkl |
| --- | --- | --- |
| 29.35 | 100 | 1 1 0 |
| 29.76 | 48 | 0 0 2 |
| 41.99 | 37 | 2 0 0 |
| 42.29 | 73 | 1 1 2 |
| 52.31 | 39 | 2 0 2 |
| 69.01 | 16 | 3 1 0 |

=====

The following is a theoretical powder X-ray diffraction pattern of Rb4SbO4. It was derived from a DFT-relaxed cell (GGA-PBE, the Materials Project), using Cu Kα, 1.54184 Å.
Peak positions follow from Bragg's law for the DFT cell and can differ from measured ones.

Cell and atoms:
a = 11.531 Å, b = 7.184 Å, c = 11.673 Å
α = 90.00°, β = 111.41°, γ = 90.00°
Space group P2_1/c (No. 14)
Asymmetric unit:
Rb  0.066  0.083  0.202 (multiplicity 4)
Rb  0.156  0.613  0.077 (multiplicity 4)
Rb  0.375  0.673  0.893 (multiplicity 4)
Rb  0.418  0.183  0.786 (multiplicity 4)
Sb  0.242  0.118  0.988 (multiplicity 4)
O  0.083  0.232  0.976 (multiplicity 4)
O  0.209  0.512  0.327 (multiplicity 4)
O  0.316  0.538  0.642 (multiplicity 4)
O  0.355  0.167  0.502 (multiplicity 4)

Principal peaks in the range 2θ from 5° to 70°, by angle:
| Position (°2θ) | I/Imax | hkl |
| --- | --- | --- |
| 27.16 | 44 | 2 1 -3 |
| 27.30 | 100 | 2 0 2 |
| 28.35 | 89 | 1 2 1 |
| 33.35 | 46 | 1 1 -4 |
| 33.74 | 37 | 4 1 -1 |
| 48.89 | 17 | 3 2 3 |

=====

The following is a theoretical powder X-ray diffraction pattern of NiPt. It was derived from a DFT-relaxed cell (GGA-PBE, the Materials Project), using Cu Kα, 1.54184 Å.
Peak positions follow from Bragg's law for the DFT cell and can differ from measured ones.

Cell and atoms:
a = 2.7176 Å, b = 2.7176 Å, c = 12.6441 Å
α = 90.00°, β = 90.00°, γ = 120.00°
Space group R-3m (No. 166, hexagonal axes)
Asymmetric unit:
Ni  0.0000  0.0000  0.0000 (multiplicity 3)
Pt  0.0000  0.0000  0.5000 (multiplicity 3)

Principal peaks in the range 2θ from 5° to 70°, by angle:
| Position (°2θ) | I/Imax | hkl |
| --- | --- | --- |
| 21.08 | 43 | 0 0 3 |
| 38.92 | 28 | 1 0 1 |
| 40.92 | 100 | 0 1 2 |
| 42.92 | 29 | 0 0 6 |
| 48.21 | 62 | 1 0 4 |
| 69.13 | 21 | 1 1 0 |

=====

The following is a theoretical powder X-ray diffraction pattern of TbGa2Ni. It was derived from a DFT-relaxed cell (GGA-PBE, the Materials Project), using Cu Kα, 1.54184 Å.
Peak positions follow from Bragg's law for the DFT cell and can differ from measured ones.

Cell and atoms:
a = 4.100 Å, b = 10.137 Å, c = 6.651 Å
α = 90.00°, β = 90.00°, γ = 90.00°
Space group Cmcm (No. 63)
Asymmetric unit:
Tb  0.000  0.072  0.250 (multiplicity 4)
Ga  0.000  0.355  0.056 (multiplicity 8)
Ni  0.000  0.209  0.750 (multiplicity 4)

Principal peaks in the range 2θ from 5° to 70°, by angle:
| Position (°2θ) | I/Imax | hkl |
| --- | --- | --- |
| 35.88 | 100 | 1 1 2 |
| 37.03 | 87 | 1 3 1 |
| 38.00 | 45 | 0 4 1 |
| 44.17 | 51 | 2 0 0 |
| 44.61 | 24 | 0 2 3 |
| 59.66 | 23 | 2 4 1 |

=====

Question: What is the formula in the third record?
Answer: Rb4SbO4

=====

Repeat the second record exactly.
The following is a theoretical powder X-ray diffraction pattern of InAgTe2. It was derived from a DFT-relaxed cell (GGA-PBE, the Materials Project), using Cu Kα, 1.54184 Å.
Peak positions follow from Bragg's law for the DFT cell and can differ from measured ones.

Cell and atoms:
a = 4.303 Å, b = 4.303 Å, c = 6.004 Å
α = 90.00°, β = 90.00°, γ = 90.00°
Space group P4/mmm (No. 123)
Asymmetric unit:
In  0.000  0.000  0.000 (multiplicity 1)
Ag  0.500  0.500  0.500 (multiplicity 1)
Te  0.000  0.000  0.500 (multiplicity 1)
Te  0.500  0.500  0.000 (multiplicity 1)

Principal peaks in the range 2θ from 5° to 70°, by angle:
| Position (°2θ) | I/Imax | hkl |
| --- | --- | --- |
| 29.35 | 100 | 1 1 0 |
| 29.76 | 48 | 0 0 2 |
| 41.99 | 37 | 2 0 0 |
| 42.29 | 73 | 1 1 2 |
| 52.31 | 39 | 2 0 2 |
| 69.01 | 16 | 3 1 0 |

=====

Repeat the fourth record exactly.
The following is a theoretical powder X-ray diffraction pattern of NiPt. It was derived from a DFT-relaxed cell (GGA-PBE, the Materials Project), using Cu Kα, 1.54184 Å.
Peak positions follow from Bragg's law for the DFT cell and can differ from measured ones.

Cell and atoms:
a = 2.7176 Å, b = 2.7176 Å, c = 12.6441 Å
α = 90.00°, β = 90.00°, γ = 120.00°
Space group R-3m (No. 166, hexagonal axes)
Asymmetric unit:
Ni  0.0000  0.0000  0.0000 (multiplicity 3)
Pt  0.0000  0.0000  0.5000 (multiplicity 3)

Principal peaks in the range 2θ from 5° to 70°, by angle:
| Position (°2θ) | I/Imax | hkl |
| --- | --- | --- |
| 21.08 | 43 | 0 0 3 |
| 38.92 | 28 | 1 0 1 |
| 40.92 | 100 | 0 1 2 |
| 42.92 | 29 | 0 0 6 |
| 48.21 | 62 | 1 0 4 |
| 69.13 | 21 | 1 1 0 |